Ac4Tb2Nd: theoretical powder diffractogram (copper Kα), based on a DFT-relaxed cell (GGA-PBE, Alexandria).
Lines closer than 0.1° are merged.

Structure:
Unit cell a=7.224 b=7.224 c=13.248 alpha=96.87 beta=96.87 gamma=123.72
Fractional positions:
1 Ac 0.001 0.175 0.280
2 Ac 0.082 0.918 0.500
3 Ac 0.175 0.001 0.780
4 Ac 0.301 0.582 0.852
5 Ac 0.503 0.790 0.430
6 Ac 0.582 0.301 0.352
7 Ac 0.790 0.503 0.930
8 Ac 0.918 0.082 0.000
9 Tb 0.029 0.669 0.209
10 Tb 0.060 0.425 0.573
11 Tb 0.425 0.060 0.073
12 Tb 0.669 0.029 0.709
13 Nd 0.482 0.606 0.142
14 Nd 0.606 0.482 0.642

Main lines, in order of rising 2θ (2θ from 10° to 80°):
2θ = 28.55°, 3.127 Å, intensity 100
2θ = 28.88°, 3.091 Å, intensity 30
2θ = 29.74°, 3.005 Å, intensity 64
2θ = 30.32°, 2.948 Å, intensity 29
2θ = 34.89°, 2.572 Å, intensity 23
2θ = 51.97°, 1.760 Å, intensity 20